# P2O5
Theoretical powder X-ray diffraction pattern, Cu Kα (λ = 1.5418 Å). Input: a PBE-relaxed structure.
Neutral-atom scattering factors, no anomalous dispersion.

Principal peaks in the range 10 to 90 degrees two-theta, sorted by position:
2θ 15.88, I = 100
2θ 16.49, I = 81
2θ 25.33, I = 10
2θ 26.11, I = 22
2θ 27.32, I = 15
2θ 28.41, I = 28
2θ 35.35, I = 9
2θ 37.12, I = 6
2θ 38.73, I = 18
2θ 44.35, I = 16
2θ 59.57, I = 6
2θ 77.37, I = 5

Crystal structure
```
data_P2O5
_chemical_formula_sum 'P8 O20'
_cell_length_a 7.7547
_cell_length_b 7.7547
_cell_length_c 7.7547
_cell_angle_alpha 87.78
_cell_angle_beta 87.78
_cell_angle_gamma 87.78
_space_group_name_H-M_alt 'P 1'
_space_group_IT_number 1
loop_
_space_group_symop_operation_xyz
'x,y,z'
loop_
_atom_site_label
_atom_site_fract_x
_atom_site_fract_y
_atom_site_fract_z
P1 0.0000 0.0000 0.0000
P2 0.0063 0.1819 0.3099
P3 0.1819 0.3099 0.0063
P4 0.3099 0.0063 0.1819
P5 0.5000 0.5000 0.5000
P6 0.5063 0.8099 0.6819
P7 0.6819 0.5063 0.8099
P8 0.8099 0.6819 0.5063
O1 0.0666 0.1774 0.9072
O2 0.0699 0.3396 0.1837
O3 0.1774 0.9072 0.0666
O4 0.1837 0.0699 0.3396
O5 0.2304 0.4659 0.9109
O6 0.3396 0.1837 0.0699
O7 0.3960 0.3960 0.3960
O8 0.4072 0.6774 0.5666
O9 0.4109 0.9659 0.7304
O10 0.4659 0.9109 0.2304
O11 0.5666 0.4072 0.6774
O12 0.5699 0.6837 0.8396
O13 0.6774 0.5666 0.4072
O14 0.6837 0.8396 0.5699
O15 0.7304 0.4109 0.9659
O16 0.8396 0.5699 0.6837
O17 0.8960 0.8960 0.8960
O18 0.9072 0.0666 0.1774
O19 0.9109 0.2304 0.4659
O20 0.9659 0.7304 0.4109
```